(1)
# Cs2SiH2O4
Simulated PXRD pattern, a wavelength of 1.5418 Å. Input: the PBE geometry in Alexandria.
Peak positions follow from Bragg's law for the DFT cell and can differ from measured ones.

Cell and atoms:
a = 6.477 Å, b = 6.677 Å, c = 8.344 Å
α = 74.32°, β = 70.11°, γ = 79.07°
Space group P-1 (No. 2)
Inequivalent atoms, fractional coordinates:
Cs 0.189 0.190 0.321 [2 per cell]
Cs 0.213 0.771 0.049 [2 per cell]
Si 0.377 0.366 0.733 [2 per cell]
H 0.236 0.506 0.520 [2 per cell]
H 0.397 0.694 0.589 [2 per cell]
O 0.189 0.388 0.624 [2 per cell]
O 0.282 0.251 0.935 [2 per cell]
O 0.381 0.730 0.379 [2 per cell]
O 0.390 0.627 0.715 [2 per cell]

The 8 most intense peaks (10° ≤ 2θ ≤ 80°), low angle first:
23.6°, rel. 100, hkl 1 1 2; 24.3°, rel. 28, hkl 0 1 2; 26.1°, rel. 59, hkl 1 1 -1; 27.9°, rel. 46, hkl 0 2 0; 28.2°, rel. 42, hkl 2 0 1; 29.5°, rel. 34, hkl 2 0 0; 30.6°, rel. 26, hkl 1 -1 2; 35.6°, rel. 25, hkl 2 2 1


(2)
# Ba3Tl2Sn7
Simulated PXRD pattern, a wavelength of 1.5418 Å. Input: the PBE geometry in Alexandria.
Peak positions follow from Bragg's law for the DFT cell and can differ from measured ones.

Cell and atoms:
a = 6.5654 Å, b = 6.5654 Å, c = 31.8807 Å
α = 90.00°, β = 90.00°, γ = 120.00°
Space group R-3m (No. 166, hexagonal axes)
Inequivalent atoms, fractional coordinates:
Ba 0.0000 0.0000 0.0000 [3 per cell]
Ba 0.0000 0.0000 0.1396 [6 per cell]
Tl 0.0000 0.0000 0.3374 [6 per cell]
Sn 0.0000 0.0000 0.5000 [3 per cell]
Sn 0.0098 0.5049 0.9141 [18 per cell]

The 8 most intense peaks (10° ≤ 2θ ≤ 80°), low angle first:
27.2°, rel. 31, hkl 1 1 0; 32.0°, rel. 100, hkl 1 1 6; 33.7°, rel. 20, hkl 0 0 12; 34.5°, rel. 29, hkl 2 0 5; 37.3°, rel. 17, hkl 0 2 7; 51.2°, rel. 39, hkl 0 3 6; 56.0°, rel. 25, hkl 2 2 0; 67.0°, rel. 17, hkl 2 2 12